Starting from a crystal structure in Alexandria, relaxed with GGA-PBE, the XRD peak list of MnNi2P8 was simulated for Cu Kα (λ = 1.5418 Å).
No peak broadening, texture or thermal motion is included.

Structural model:
```
data_MnNi2P8
_cell_length_a 13.119
_cell_length_b 6.621
_cell_length_c 4.321
_cell_angle_alpha 90.00
_cell_angle_beta 96.76
_cell_angle_gamma 90.00
_symmetry_space_group_name_H-M 'C 1 2/m 1'
_symmetry_Int_Tables_number 12
loop_
_symmetry_equiv_pos_as_xyz
'x,y,z'
'-x,-y,-z'
'-x,y,-z'
'x,-y,z'
'x+1/2,y+1/2,z'
'-x+1/2,-y+1/2,-z'
'-x+1/2,y+1/2,-z'
'x+1/2,-y+1/2,z'
loop_
_atom_site_label
_atom_site_type_symbol
_atom_site_fract_x
_atom_site_fract_y
_atom_site_fract_z
Mn1 Mn 0.000 0.000 0.000
Ni1 Ni 0.183 0.500 0.224
P1 P 0.081 0.250 0.415
P2 P 0.147 0.000 0.723
P3 P 0.149 0.500 0.720
```

Peak list (6 most intense, 5 to 70 degrees two-theta, by intensity)
| d [Å] | 2θ (°) | Rel. int. |
| --- | --- | --- |
| 3.631 | 24.51 | 100 |
| 3.386 | 26.32 | 70 |
| 1.816 | 50.25 | 55 |
| 3.311 | 26.93 | 42 |
| 1.781 | 51.29 | 34 |
| 2.621 | 34.21 | 32 |